Nb2Co4O9: calculated powder diffraction line list (a wavelength of 1.5418 Å), based on a structure optimized by DFT (PBE+U).
Intensities are scaled so that the largest is 100.

Largest 10 diffraction maxima, low angle first, 2θ = 10–80°:
| Position (°2θ) | intensity | h k l |
| --- | --- | --- |
| 19.63 | 18 | 1 1 0 |
| 31.78 | 45 | 1 1 4 |
| 31.90 | 44 | 1 0 -4 |
| 32.05 | 43 | 0 1 -4 |
| 34.35 | 100 | 1 2 0 |
| 47.30 | 16 | 0 2 4 |
| 47.64 | 16 | 2 0 4 |
| 52.11 | 18 | 1 -1 6 |
| 60.16 | 20 | 3 1 -4 |
| 61.58 | 25 | 3 3 0 |

Atomic structure:
```
data_Nb2Co4O9
_cell_length_a 5.213
_cell_length_b 5.224
_cell_length_c 14.304
_cell_angle_alpha 89.37
_cell_angle_beta 89.76
_cell_angle_gamma 60.08
_space_group_name_H-M_alt 'P 1'
_space_group_IT_number 1
_space_group_name_Hall 'P 1'
loop_
_atom_site_label
_atom_site_type_symbol
_atom_site_fract_x
_atom_site_fract_y
_atom_site_fract_z
Nb1 Nb 0.000 0.000 0.000
Nb2 Nb 0.001 0.993 0.283
Nb3 Nb 0.005 0.994 0.783
Nb4 Nb 0.998 0.005 0.499
Co1 Co 0.332 0.332 0.337
Co2 Co 0.334 0.329 0.128
Co3 Co 0.336 0.332 0.837
Co4 Co 0.338 0.332 0.631
Co5 Co 0.665 0.662 0.450
Co6 Co 0.667 0.665 0.154
Co7 Co 0.667 0.668 0.653
Co8 Co 0.669 0.663 0.947
O1 O 0.002 0.287 0.891
O2 O 0.022 0.655 0.726
O3 O 0.024 0.317 0.225
O4 O 0.290 0.996 0.391
O5 O 0.291 0.708 0.892
O6 O 0.324 0.653 0.226
O7 O 0.326 0.016 0.725
O8 O 0.346 0.676 0.556
O9 O 0.347 0.974 0.057
O10 O 0.657 0.320 0.727
O11 O 0.658 0.018 0.225
O12 O 0.676 0.982 0.557
O13 O 0.679 0.341 0.057
O14 O 0.712 0.997 0.892
O15 O 0.713 0.287 0.391
O16 O 0.980 0.342 0.559
O17 O 0.981 0.675 0.058
O18 O 0.998 0.706 0.392
```